Ce2TmRu2: simulated XRD peak list (λ = 1.5418 Å (Cu Kα)), based on a cell relaxed with GGA-PBE.

Peak list (10 most intense, 2θ = 10–80°, sorted by position)
h k l, 2θ (°), intensity
3 0 0, 26.16, 15
0 2 0, 26.57, 15
1 1 -2, 29.73, 10
1 1 2, 31.61, 11
2 1 -2, 32.60, 10
3 0 -2, 34.89, 29
3 2 0, 37.61, 100
3 0 2, 39.63, 17
6 0 0, 53.83, 13
6 2 -2, 64.39, 10

Atomic structure:
```
data_Ce2TmRu2
_space_group_name_H-M_alt 'P 1 21/c 1'
_space_group_IT_number 14
_space_group_name_Hall '-P 2ybc'
_cell_length_a 10.2935
_cell_length_b 6.7157
_cell_length_c 6.8693
_cell_angle_alpha 90.00
_cell_angle_beta 97.02
_cell_angle_gamma 90.00
loop_
_atom_site_label
_atom_site_fract_x
_atom_site_fract_y
_atom_site_fract_z
Ce1 0.0106 0.2440 0.0825
Ce2 0.3291 0.7128 0.5376
Tm1 0.3309 0.2127 0.4500
Ru1 0.1641 0.0000 0.7205
Ru2 0.4947 0.5053 0.2672
```



PrCd7Hg4: simulated XRD peak list (λ = 1.5418 Å (Cu Kα)), based on a cell relaxed with GGA-PBE.

Peak list (10 most intense, 2θ = 10–80°, sorted by position)
h k l, 2θ (°), intensity
3 1 -2, 27.70, 27
0 2 0, 29.96, 100
4 0 -1, 30.98, 60
2 0 2, 33.10, 28
3 1 -4, 38.37, 67
1 1 3, 39.14, 48
4 2 -1, 43.64, 47
2 2 2, 45.24, 23
3 3 -4, 58.88, 19
1 3 3, 59.48, 23

Atomic structure:
```
data_PrCd7Hg4
_space_group_name_H-M_alt 'C 1 2/m 1'
_space_group_IT_number 12
_space_group_name_Hall '-C 2y'
_cell_length_a 11.9651
_cell_length_b 5.9656
_cell_length_c 10.3142
_cell_angle_alpha 90.00
_cell_angle_beta 121.46
_cell_angle_gamma 90.00
loop_
_atom_site_label
_atom_site_fract_x
_atom_site_fract_y
_atom_site_fract_z
Pr1 0.0000 0.0000 0.0000
Cd1 0.0000 0.5000 0.0000
Cd2 0.0958 0.0000 0.4393
Cd3 0.1873 0.5000 0.9063
Cd4 0.2092 0.5000 0.6481
Hg1 0.0985 0.5000 0.3258
Hg2 0.1809 0.0000 0.7700
```